Structure and theoretical powder diffractogram of Cs2FeCuO4 (a crystal structure in Alexandria, relaxed with GGA+U; Cu Kα (λ = 1.5418 Å)).

Main lines, most intense first (5° ≤ 2θ ≤ 70°):
28.90°, intensity 100, hkl 0 2 6; 22.06°, intensity 68, hkl 1 1 3; 29.91°, intensity 57, hkl 1 3 3; 42.49°, intensity 50, hkl 2 0 6; 28.36°, intensity 47, hkl 0 4 0; 36.71°, intensity 46, hkl 2 2 0; 51.89°, intensity 38, hkl 2 4 6; 18.59°, intensity 29, hkl 1 1 1; 34.43°, intensity 28, hkl 1 3 5; 50.55°, intensity 21, hkl 0 6 6

Crystal structure
Cell lengths 5.316, 12.586, 21.279 Å; angles 90.00, 90.00, 90.00 degrees
Space group Fddd (No. 70, origin choice 2)
Inequivalent atoms, fractional coordinates:
Cs: 0.125 0.125 0.299 (multiplicity 16)
Fe: 0.125 0.125 0.625 (multiplicity 8)
Cu: 0.125 0.125 0.125 (multiplicity 8)
O: 0.124 0.294 0.418 (multiplicity 32)